This entry pairs a crystal structure of Sr5ZrTi4O15 with its simulated powder XRD pattern. Radiation: CuKα. Structure: a cell relaxed with GGA-PBE.
No peak broadening, texture or thermal motion is included.

Structure:
Unit cell a=14.381 b=14.381 c=4.016 alpha=90.00 beta=90.00 gamma=157.40
Fractional coordinates of all 25 atoms:
Sr1 0.000 0.000 0.000
Sr2 0.201 0.799 0.000
Sr3 0.395 0.605 0.000
Sr4 0.605 0.395 0.000
Sr5 0.799 0.201 0.000
Zr1 0.500 0.500 0.500
Ti1 0.102 0.898 0.500
Ti2 0.299 0.701 0.500
Ti3 0.701 0.299 0.500
Ti4 0.898 0.102 0.500
O1 0.000 0.500 0.500
O2 0.101 0.405 0.500
O3 0.104 0.896 0.000
O4 0.186 0.292 0.500
O5 0.292 0.186 0.500
O6 0.299 0.701 0.000
O7 0.405 0.101 0.500
O8 0.500 0.000 0.500
O9 0.500 0.500 0.000
O10 0.595 0.899 0.500
O11 0.701 0.299 0.000
O12 0.708 0.814 0.500
O13 0.814 0.708 0.500
O14 0.896 0.104 0.000
O15 0.899 0.595 0.500

Largest 10 diffraction maxima, low angle first, 2θ = 10–80°:
d = 2.829 Å, 31.6°, I 100.0
d = 2.819 Å, 31.7°, I 49.1
d = 2.307 Å, 39.0°, I 21.7
d = 2.008 Å, 45.2°, I 20.3
d = 1.993 Å, 45.5°, I 38.4
d = 1.635 Å, 56.2°, I 19.0
d = 1.630 Å, 56.5°, I 36.6
d = 1.415 Å, 66.0°, I 22.5
d = 1.409 Å, 66.3°, I 10.8
d = 1.261 Å, 75.4°, I 15.3